No. 1
Structure and computed powder diffractogram of MgTe4Mo2W2Se2S2 (DFT lattice parameters and positions (GGA-PBE); Cu Kα (λ = 1.5418 Å)).

Most intense lines, 2θ from 15° to 90°, low angle first:
two_theta	d (Å)	Rel. int.
30.49	2.932	54
32.64	2.744	16
35.78	2.509	100
38.49	2.339	21
43.27	2.091	55
45.03	2.013	18
54.15	1.694	33
55.53	1.655	12
66.61	1.404	16
76.32	1.248	15

```
MgTe4Mo2W2Se2S2
1.0
3.3875 0.0000 0.0000
1.6937 2.9343 0.0000
0.0000 0.0000 38.7406
Mg Te Mo W Se S
1 4 2 2 2 2
direct
0.0000 0.0000 0.0000
0.2654 0.3137 0.7335
0.2654 0.3137 0.8310
0.9321 0.9804 0.1701
0.9321 0.9804 0.2671
0.2654 0.3138 0.2186
0.9321 0.9804 0.4065
0.2654 0.3139 0.5943
0.9321 0.9804 0.7823
0.2654 0.3137 0.3638
0.2654 0.3137 0.4492
0.9321 0.9804 0.5554
0.9322 0.9804 0.6333
```



No. 2
Structure and computed powder diffractogram of K2NaPdF6 (DFT lattice parameters and positions (GGA-PBE); Cu Kα (λ = 1.5418 Å)).

Most intense lines, 2θ from 15° to 90°, low angle first:
two_theta	d (Å)	Rel. int.
17.84	4.973	93
20.97	4.237	31
29.08	3.071	100
29.82	2.996	47
34.97	2.566	23
40.47	2.229	35
42.68	2.118	58
51.08	1.788	20
52.48	1.744	35
60.27	1.535	36

```
K2NaPdF6
1.0
-2.9959 2.9959 4.4576
2.9959 -2.9959 4.4576
2.9959 2.9959 -4.4576
K Na Pd F
2 1 1 6
direct
0.2500 0.7500 0.5000
0.7500 0.2500 0.5000
0.0000 0.0000 0.0000
0.5000 0.5000 0.0000
0.2531 0.2531 0.0000
0.2653 0.2653 0.5306
0.2653 0.7347 0.0000
0.7347 0.2653 0.0000
0.7347 0.7347 0.4694
0.7469 0.7469 0.0000
```



No. 3
Structure and computed powder diffractogram of UTe (DFT lattice parameters and positions (GGA-PBE); Cu Kα (λ = 1.5418 Å)).

Most intense lines, 2θ from 15° to 90°, low angle first:
two_theta	d (Å)	Rel. int.
25.04	3.556	16
29.00	3.079	100
41.47	2.177	77
49.06	1.857	9
51.40	1.778	28
60.09	1.540	13
66.14	1.413	4
68.09	1.377	37
75.65	1.257	28
81.15	1.185	3

```
UTe
1.0
0.0000 3.0793 3.0793
3.0793 0.0000 3.0793
3.0793 3.0793 0.0000
U Te
1 1
direct
0.0000 0.0000 0.0000
0.5000 0.5000 0.5000
```



No. 4
Structure and computed powder diffractogram of Sr2EuGaCu2O7 (DFT lattice parameters and positions (GGA-PBE); Cu Kα (λ = 1.5418 Å)).

Most intense lines, 2θ from 15° to 90°, low angle first:
two_theta	d (Å)	Rel. int.
24.16	3.684	8
32.29	2.772	27
32.54	2.751	100
32.95	2.718	29
38.53	2.336	24
46.57	1.950	9
46.81	1.941	29
57.75	1.596	20
58.59	1.576	19
68.16	1.376	10

```
Sr2EuGaCu2O7
1.0
5.4361 0.0000 0.0000
0.0001 5.5440 0.0000
2.7168 2.7574 11.7018
Sr Eu Ga Cu O
4 2 2 4 14
direct
0.0000 0.0000 0.0000
0.1967 0.1973 0.6082
0.5004 0.4649 0.9997
0.6972 0.6625 0.6079
0.3495 0.3315 0.3041
0.8496 0.8315 0.3040
0.0628 0.6528 0.8035
0.5617 0.0088 0.8041
0.2758 0.7585 0.4540
0.4250 0.9043 0.1543
0.7760 0.2564 0.4534
0.9250 0.4066 0.1548
0.0328 0.0146 0.4397
0.0338 0.5187 0.4349
0.0575 0.4654 0.9489
0.1637 0.1437 0.1740
0.1677 0.6475 0.1694
0.2026 0.6122 0.6579
0.2093 0.9667 0.8040
0.5327 0.0154 0.4395
0.5350 0.5163 0.4336
0.5545 0.0497 0.9501
0.6640 0.1474 0.1737
0.6686 0.6483 0.1678
0.7010 0.1956 0.6588
0.7101 0.6951 0.8041
```



No. 5
Structure and computed powder diffractogram of HoNi12B6 (DFT lattice parameters and positions (GGA-PBE); Cu Kα (λ = 1.5418 Å)).

Most intense lines, 2θ from 15° to 90°, low angle first:
two_theta	d (Å)	Rel. int.
31.76	2.817	60
32.78	2.732	27
34.87	2.573	46
39.58	2.277	68
41.26	2.188	79
41.50	2.176	100
44.26	2.046	41
45.49	1.994	32
58.31	1.582	24
61.57	1.506	30

```
HoNi12B6
1.0
4.7749 -3.6735 0.0000
4.7749 3.6735 0.0000
0.0000 0.0000 10.9288
Ho Ni B
2 24 12
direct
0.1648 0.8352 0.5000
0.8352 0.1648 0.0000
0.0036 0.6306 0.9411
0.1177 0.1451 0.7598
0.1451 0.1177 0.2598
0.1951 0.5445 0.7374
0.2130 0.5270 0.2807
0.2161 0.7839 0.1031
0.2696 0.3404 0.0723
0.3404 0.2696 0.5723
0.3694 0.9964 0.9411
0.4363 0.5637 0.9238
0.4555 0.8049 0.7374
0.4730 0.7870 0.2807
0.5270 0.2130 0.7807
0.5445 0.1951 0.2374
0.5637 0.4363 0.4238
0.6306 0.0036 0.4411
0.6596 0.7304 0.0723
0.7304 0.6596 0.5723
0.7839 0.2161 0.6031
0.7870 0.4730 0.7807
0.8049 0.4555 0.2374
0.8549 0.8823 0.7598
0.8823 0.8549 0.2598
0.9964 0.3694 0.4411
0.0110 0.4020 0.6271
0.1639 0.8361 0.8436
0.2422 0.3267 0.8890
0.3267 0.2422 0.3890
0.4020 0.0110 0.1271
0.4888 0.5112 0.1560
0.5112 0.4888 0.6560
0.5980 0.9890 0.6271
0.6733 0.7578 0.8890
0.7578 0.6733 0.3890
0.8361 0.1639 0.3436
0.9890 0.5980 0.1271
```



No. 6
Structure and computed powder diffractogram of CeCo4B (DFT lattice parameters and positions (GGA-PBE); Cu Kα (λ = 1.5418 Å)).

Most intense lines, 2θ from 15° to 90°, low angle first:
two_theta	d (Å)	Rel. int.
33.21	2.698	85
35.95	2.498	29
41.76	2.163	75
44.79	2.023	100
53.07	1.725	14
62.89	1.478	27
65.78	1.420	14
69.71	1.349	16
70.81	1.331	24
76.23	1.249	21

```
CeCo4B
1.0
4.9957 0.0000 0.0000
-2.4979 4.3264 0.0000
0.0000 0.0000 6.9020
Ce Co B
2 8 2
direct
0.0000 0.0000 0.0000
0.0000 0.0000 0.5000
0.0000 0.5000 0.2102
0.0000 0.5000 0.7898
0.3333 0.6667 0.5000
0.5000 0.0000 0.2102
0.5000 0.0000 0.7898
0.5000 0.5000 0.2102
0.5000 0.5000 0.7898
0.6667 0.3333 0.5000
0.3333 0.6667 0.0000
0.6667 0.3333 0.0000
```



- Which formula does entry 2 have?
  K2NaPdF6